No. 1
Starting from DFT lattice parameters and positions (PBE), the XRD peak list of La3YBi3 was calculated for Cu Kα, 1.54184 Å.

Atomic structure:
```
La3YBi3
1.0
9.7703 0.0000 0.0000
0.0000 9.7703 0.0000
0.0000 0.0000 9.7703
La Y Bi
12 4 12
Direct
0.0664 0.4336 0.5664 La
0.1753 0.8247 0.3247 La
0.1775 0.1775 0.1775 La
0.3225 0.8225 0.6775 La
0.3247 0.1753 0.8247 La
0.4336 0.5664 0.0664 La
0.5664 0.0664 0.4336 La
0.6753 0.6753 0.6753 La
0.6775 0.3225 0.8225 La
0.8225 0.6775 0.3225 La
0.8247 0.3247 0.1753 La
0.9336 0.9336 0.9336 La
0.0725 0.5725 0.9275 Y
0.4275 0.4275 0.4275 Y
0.5725 0.9275 0.0725 Y
0.9275 0.0725 0.5725 Y
0.0023 0.2574 0.8691 Bi
0.1309 0.5023 0.2426 Bi
0.2426 0.1309 0.5023 Bi
0.2574 0.8691 0.0023 Bi
0.3691 0.4977 0.7426 Bi
0.4977 0.7426 0.3691 Bi
0.5023 0.2426 0.1309 Bi
0.6309 0.9977 0.7574 Bi
0.7426 0.3691 0.4977 Bi
0.7574 0.6309 0.9977 Bi
0.8691 0.0023 0.2574 Bi
0.9977 0.7574 0.6309 Bi
```

Largest 12 diffraction maxima, in order of rising 2θ, 10° ≤ 2θ ≤ 90°:
Position (°2θ)  intensity  (hkl)
22.29  20  2 1 1
28.90  100  3 0 1
34.34  64  3 1 2
41.33  23  4 0 2
43.44  15  3 3 2
45.48  12  4 2 2
47.45  21  4 3 1
58.21  32  6 1 1
59.87  11  6 0 2
61.51  14  5 4 1
70.88  21  7 2 1
85.49  11  7 0 5

No. 2
Starting from DFT lattice parameters and positions (PBE), the XRD peak list of Mg3P2O8 was calculated for Cu Kα, 1.54184 Å.

Atomic structure:
```
Mg3P2O8
1.0
5.1198 0.0000 0.0000
0.0000 8.3389 0.0000
-4.5467 0.0000 7.7145
Mg P O
6 4 16
Direct
0.0000 0.0000 0.0000 Mg
0.0000 0.5000 0.5000 Mg
0.0167 0.1439 0.6088 Mg
0.0167 0.3561 0.1088 Mg
0.9833 0.6439 0.8912 Mg
0.9833 0.8561 0.3912 Mg
0.3307 0.6950 0.2979 P
0.3307 0.8050 0.7979 P
0.6693 0.1950 0.2021 P
0.6693 0.3050 0.7021 P
0.1777 0.6369 0.7370 O
0.1777 0.8631 0.2370 O
0.1895 0.5758 0.1429 O
0.1895 0.9242 0.6429 O
0.2518 0.6446 0.4370 O
0.2518 0.8554 0.9370 O
0.3229 0.1984 0.1257 O
0.3229 0.3016 0.6257 O
0.6771 0.6984 0.3743 O
0.6771 0.8016 0.8743 O
0.7482 0.1446 0.0630 O
0.7482 0.3554 0.5630 O
0.8105 0.0758 0.3571 O
0.8105 0.4242 0.8571 O
0.8223 0.1369 0.7630 O
0.8223 0.3631 0.2630 O
```

Largest 12 diffraction maxima, in order of rising 2θ, 10° ≤ 2θ ≤ 90°:
Position (°2θ)  intensity  (hkl)
20.13  27  1 0 0
20.40  20  1 1 -1
21.31  23  0 2 0
21.57  25  1 0 -2
22.81  86  1 1 0
24.10  27  1 1 -2
25.44  100  0 1 2
29.48  18  1 2 0
35.15  20  2 0 -2
35.40  23  1 2 1
36.82  26  1 3 -1
41.91  24  1 1 -4